Simulated powder X-ray diffraction pattern of Nb2O5 for a wavelength of 1.5418 Å, from a PBE-relaxed structure.
Peak positions follow from Bragg's law for the DFT cell and can differ from measured ones.

Main lines, by intensity (2θ from 10° to 90°):
(hkl), 2theta, I (rel.)
4 4 0, 24.2, 100.0
4 3 1, 31.7, 47.5
1 0 1, 23.5, 45.3
11 4 1, 57.1, 28.5
8 7 1, 52.5, 25.2
3 3 0, 18.1, 22.9

Structural model:
```
data_Nb2O5
_chemical_formula_sum 'Nb32 O80'
_cell_length_a 20.7731
_cell_length_b 20.7731
_cell_length_c 3.8570
_cell_angle_alpha 90.00
_cell_angle_beta 90.00
_cell_angle_gamma 90.00
_symmetry_space_group_name_H-M 'I 4/m m m'
_symmetry_Int_Tables_number 139
_symmetry_space_group_name_Hall '-I 4 2'
loop_
_atom_site_label
_atom_site_fract_x
_atom_site_fract_y
_atom_site_fract_z
Nb1 0.0000 0.1312 0.0000
Nb2 0.0000 0.4003 0.0000
Nb3 0.1351 0.2661 0.0000
O1 0.0000 0.1447 0.5000
O2 0.0000 0.4333 0.5000
O3 0.0683 0.3468 0.0000
O4 0.0693 0.0693 0.0000
O5 0.0698 0.2090 0.0000
O6 0.1484 0.2896 0.5000
O7 0.2063 0.2063 0.0000
```